# 1
Theoretical powder diffraction line list
Compound: PaSe3O9
Radiation: Cu Kα, 1.54184 Å
Structure: a cell relaxed with PBE
Peak positions follow from Bragg's law for the DFT cell and can differ from measured ones.

Cell and atoms:
```
data_PaSe3O9
_space_group_name_H-M_alt 'C 1 c 1'
_space_group_IT_number 9
_cell_length_a 17.8444
_cell_length_b 5.7280
_cell_length_c 11.3968
_cell_angle_alpha 90.00
_cell_angle_beta 129.22
_cell_angle_gamma 90.00
loop_
_space_group_symop_operation_xyz
'x,y,z'
'x,-y,z+1/2'
'x+1/2,y+1/2,z'
'x+1/2,-y+1/2,z+1/2'
loop_
_atom_site_label
_atom_site_type_symbol
_atom_site_fract_x
_atom_site_fract_y
_atom_site_fract_z
Pa1 Pa 0.0000 0.1772 0.0000
Se1 Se 0.1745 0.0557 0.9124
Se2 Se 0.2419 0.4622 0.7922
Se3 Se 0.4050 0.1772 0.7110
O1 O 0.0534 0.1013 0.6115
O2 O 0.0862 0.1631 0.9124
O3 O 0.1462 0.3542 0.2012
O4 O 0.2374 0.3318 0.9374
O5 O 0.2528 0.0239 0.6020
O6 O 0.3363 0.3587 0.4203
O7 O 0.4035 0.4392 0.7782
O8 O 0.4489 0.0070 0.3648
O9 O 0.4959 0.1772 0.6998
```

Principal peaks in the range 15 to 90 degrees two-theta, sorted by position:
- hkl 1 1 -1, 2θ = 17.33°, rel. 43
- hkl 4 0 -2, 2θ = 20.28°, rel. 40
- hkl 1 1 1, 2θ = 21.57°, rel. 100
- hkl 1 1 -2, 2θ = 22.93°, rel. 55
- hkl 3 1 -3, 2θ = 28.19°, rel. 28
- hkl 6 0 -2, 2θ = 30.36°, rel. 24
- hkl 5 1 -3, 2θ = 31.16°, rel. 35
- hkl 2 2 0, 2θ = 33.89°, rel. 26

# 2
Theoretical powder diffraction line list
Compound: Pa2SeO8
Radiation: Cu Kα, 1.54184 Å
Structure: a cell relaxed with PBE
Peak positions follow from Bragg's law for the DFT cell and can differ from measured ones.

Cell and atoms:
```
data_Pa2SeO8
_space_group_name_H-M_alt 'P 1'
_space_group_IT_number 1
_cell_length_a 5.2657
_cell_length_b 5.3049
_cell_length_c 6.4288
_cell_angle_alpha 111.28
_cell_angle_beta 108.54
_cell_angle_gamma 94.99
loop_
_space_group_symop_operation_xyz
'x,y,z'
loop_
_atom_site_label
_atom_site_type_symbol
_atom_site_fract_x
_atom_site_fract_y
_atom_site_fract_z
Pa1 Pa 0.0000 0.0000 0.0000
Pa2 Pa 0.2355 0.7196 0.4778
Se1 Se 0.4929 0.4966 0.9397
O1 O 0.0095 0.9573 0.6677
O2 O 0.1923 0.5937 0.8143
O3 O 0.2969 0.9464 0.2888
O4 O 0.3524 0.4018 0.1307
O5 O 0.5638 0.1767 0.8133
O6 O 0.6082 0.6302 0.7351
O7 O 0.7771 0.7381 0.1692
O8 O 0.9674 0.3300 0.2906
```

Principal peaks in the range 15 to 90 degrees two-theta, sorted by position:
- hkl 1 0 0, 2θ = 18.26°, rel. 77
- hkl 0 1 0, 2θ = 18.44°, rel. 55
- hkl 0 1 -1, 2θ = 18.76°, rel. 54
- hkl 1 0 -1, 2θ = 19.22°, rel. 76
- hkl 1 -1 1, 2θ = 27.55°, rel. 100
- hkl -1 1 1, 2θ = 28.43°, rel. 90
- hkl 1 1 0, 2θ = 28.95°, rel. 86
- hkl 1 1 -2, 2θ = 30.61°, rel. 68

# 3
Theoretical powder diffraction line list
Compound: Pa4Se3O2
Radiation: Cu Kα, 1.54184 Å
Structure: a cell relaxed with PBE
Peak positions follow from Bragg's law for the DFT cell and can differ from measured ones.

Cell and atoms:
```
data_Pa4Se3O2
_space_group_name_H-M_alt 'C 1 2/c 1'
_space_group_IT_number 15
_cell_length_a 12.5180
_cell_length_b 9.7897
_cell_length_c 6.1609
_cell_angle_alpha 90.00
_cell_angle_beta 93.20
_cell_angle_gamma 90.00
loop_
_space_group_symop_operation_xyz
'x,y,z'
'-x,-y,-z'
'-x,y,-z+1/2'
'x,-y,z+1/2'
'x+1/2,y+1/2,z'
'-x+1/2,-y+1/2,-z'
'-x+1/2,y+1/2,-z+1/2'
'x+1/2,-y+1/2,z+1/2'
loop_
_atom_site_label
_atom_site_type_symbol
_atom_site_fract_x
_atom_site_fract_y
_atom_site_fract_z
Pa1 Pa 0.1161 0.1703 0.4737
Pa2 Pa 0.1570 0.4190 0.9358
Se1 Se 0.0000 0.3936 0.2500
Se2 Se 0.1152 0.1268 0.9722
O1 O 0.2070 0.3639 0.5977
```

Principal peaks in the range 15 to 90 degrees two-theta, sorted by position:
- hkl 2 2 -1, 2θ = 26.88°, rel. 33
- hkl 2 2 1, 2θ = 27.74°, rel. 100
- hkl 1 3 0, 2θ = 28.26°, rel. 32
- hkl 4 0 0, 2θ = 28.57°, rel. 67
- hkl 0 0 2, 2θ = 29.03°, rel. 66
- hkl 2 0 -2, 2θ = 31.68°, rel. 65
- hkl 4 0 2, 2θ = 42.37°, rel. 37
- hkl 5 3 -1, 2θ = 47.49°, rel. 28

# 4
Theoretical powder diffraction line list
Compound: PaSiSeO4
Radiation: Cu Kα, 1.54184 Å
Structure: a cell relaxed with PBE
Peak positions follow from Bragg's law for the DFT cell and can differ from measured ones.

Cell and atoms:
```
data_PaSiSeO4
_space_group_name_H-M_alt 'C 1 2/m 1'
_space_group_IT_number 12
_cell_length_a 10.4581
_cell_length_b 6.8563
_cell_length_c 6.6411
_cell_angle_alpha 90.00
_cell_angle_beta 104.87
_cell_angle_gamma 90.00
loop_
_space_group_symop_operation_xyz
'x,y,z'
'-x,-y,-z'
'-x,y,-z'
'x,-y,z'
'x+1/2,y+1/2,z'
'-x+1/2,-y+1/2,-z'
'-x+1/2,y+1/2,-z'
'x+1/2,-y+1/2,z'
loop_
_atom_site_label
_atom_site_type_symbol
_atom_site_fract_x
_atom_site_fract_y
_atom_site_fract_z
Pa1 Pa 0.2320 0.0000 0.3476
Si1 Si 0.1405 0.0000 0.7698
Se1 Se 0.0136 0.5000 0.3297
O1 O 0.0214 0.0000 0.2805
O2 O 0.2002 0.1821 0.6556
O3 O 0.2037 0.0000 0.0216
```

Principal peaks in the range 15 to 90 degrees two-theta, sorted by position:
- hkl 2 0 0, 2θ = 17.55°, rel. 55
- hkl 1 1 -1, 2θ = 19.33°, rel. 100
- hkl 0 2 0, 2θ = 25.99°, rel. 89
- hkl 3 1 0, 2θ = 29.56°, rel. 74
- hkl 1 1 -2, 2θ = 29.95°, rel. 37
- hkl 4 0 0, 2θ = 35.58°, rel. 71
- hkl 3 1 -2, 2θ = 35.80°, rel. 47
- hkl 0 0 3, 2θ = 42.20°, rel. 43

# 5
Theoretical powder diffraction line list
Compound: PaSi3O9
Radiation: Cu Kα, 1.54184 Å
Structure: a cell relaxed with PBE
Peak positions follow from Bragg's law for the DFT cell and can differ from measured ones.

Cell and atoms:
```
data_PaSi3O9
_space_group_name_H-M_alt 'C 2 2 21'
_space_group_IT_number 20
_cell_length_a 8.5629
_cell_length_b 11.2374
_cell_length_c 7.2943
_cell_angle_alpha 90.00
_cell_angle_beta 90.00
_cell_angle_gamma 90.00
loop_
_space_group_symop_operation_xyz
'x,y,z'
'-x,-y,z+1/2'
'x,-y,-z'
'-x,y,-z+1/2'
'x+1/2,y+1/2,z'
'-x+1/2,-y+1/2,z+1/2'
'x+1/2,-y+1/2,-z'
'-x+1/2,y+1/2,-z+1/2'
loop_
_atom_site_label
_atom_site_type_symbol
_atom_site_fract_x
_atom_site_fract_y
_atom_site_fract_z
Pa1 Pa 0.1224 0.0000 0.0000
Si1 Si 0.0179 0.3174 0.4665
Si2 Si 0.2398 0.5000 0.0000
O1 O 0.0000 0.3416 0.2500
O2 O 0.0047 0.1758 0.9933
O3 O 0.1284 0.3883 0.9412
O4 O 0.1466 0.0139 0.6822
O5 O 0.1848 0.3755 0.5296
```

Principal peaks in the range 15 to 90 degrees two-theta, sorted by position:
- hkl 0 2 0, 2θ = 15.77°, rel. 100
- hkl 1 1 1, 2θ = 17.82°, rel. 87
- hkl 2 0 1, 2θ = 24.10°, rel. 64
- hkl 0 0 2, 2θ = 24.41°, rel. 94
- hkl 1 3 0, 2θ = 25.96°, rel. 71
- hkl 2 2 1, 2θ = 28.94°, rel. 97
- hkl 3 1 1, 2θ = 34.68°, rel. 37
- hkl 2 2 3, 2θ = 45.86°, rel. 38

# 6
Theoretical powder diffraction line list
Compound: SrPa2SiO8
Radiation: Cu Kα, 1.54184 Å
Structure: a cell relaxed with PBE
Peak positions follow from Bragg's law for the DFT cell and can differ from measured ones.

Cell and atoms:
```
data_SrPa2SiO8
_space_group_name_H-M_alt 'C m m m'
_space_group_IT_number 65
_space_group_name_Hall '-C 2 2'
_cell_length_a 6.7169
_cell_length_b 7.1214
_cell_length_c 7.0159
_cell_angle_alpha 90.00
_cell_angle_beta 90.00
_cell_angle_gamma 90.00
loop_
_atom_site_label
_atom_site_type_symbol
_atom_site_fract_x
_atom_site_fract_y
_atom_site_fract_z
Sr1 Sr 0.0000 0.0000 0.0000
Pa1 Pa 0.0000 0.5000 0.2619
Si1 Si 0.0000 0.0000 0.5000
O1 O 0.0000 0.2883 0.5000
O2 O 0.0000 0.3285 0.0000
O3 O 0.1846 0.0000 0.3154
```

Principal peaks in the range 15 to 90 degrees two-theta, sorted by position:
- hkl 1 1 0, 2θ = 18.16°, rel. 73
- hkl 0 2 0, 2θ = 25.01°, rel. 57
- hkl 2 0 0, 2θ = 26.54°, rel. 50
- hkl 1 1 2, 2θ = 31.39°, rel. 100
- hkl 0 2 2, 2θ = 35.94°, rel. 23
- hkl 2 2 0, 2θ = 36.79°, rel. 28
- hkl 1 3 2, 2θ = 48.23°, rel. 40
- hkl 3 1 2, 2θ = 49.99°, rel. 35

# 7
Theoretical powder diffraction line list
Compound: PaTl2Si3O12
Radiation: Cu Kα, 1.54184 Å
Structure: a cell relaxed with PBE
Peak positions follow from Bragg's law for the DFT cell and can differ from measured ones.

Cell and atoms:
```
data_PaTl2Si3O12
_space_group_name_H-M_alt 'R -3 m'
_space_group_IT_number 166
_space_group_name_Hall '-R 3 2"'
_cell_length_a 6.7894
_cell_length_b 6.7894
_cell_length_c 18.0376
_cell_angle_alpha 90.00
_cell_angle_beta 90.00
_cell_angle_gamma 120.00
loop_
_atom_site_label
_atom_site_type_symbol
_atom_site_fract_x
_atom_site_fract_y
_atom_site_fract_z
Pa1 Pa 0.0000 0.0000 0.0000
Tl1 Tl 0.0000 0.0000 0.3886
Si1 Si 0.0000 0.5000 0.5000
O1 O 0.0356 0.5178 0.5969
O2 O 0.0817 0.5408 0.8433
```

Principal peaks in the range 15 to 90 degrees two-theta, sorted by position:
- hkl 0 1 2, 2θ = 18.01°, rel. 48
- hkl 1 1 0, 2θ = 26.25°, rel. 99
- hkl 0 1 5, 2θ = 29.04°, rel. 99
- hkl 1 1 3, 2θ = 30.23°, rel. 100
- hkl 2 0 5, 2θ = 39.54°, rel. 45
- hkl 1 2 5, 2θ = 48.09°, rel. 41
- hkl 3 0 3, 2θ = 48.88°, rel. 30
- hkl 2 2 0, 2θ = 54.03°, rel. 31